No. 1
Diffraction record for Er4Al3Ag. The powder diffraction line list is computed, not measured: it uses a structure optimized by DFT (PBE) and Cu Kα, 1.54184 Å.
Peak positions follow from Bragg's law for the DFT cell and can differ from measured ones.

Structural model:
```
8
Lattice="3.5562 0.0000 0.0000 0.0000 3.5562 0.0000 0.0000 0.0000 14.5065" Properties=species:S:1:pos:R:3 pbc="T T T"
Er 0.0000 0.0000 1.7852
Er 0.0000 0.0000 5.3947
Er 0.0000 0.0000 9.1119
Er 0.0000 0.0000 12.7213
Al 1.7781 1.7781 0.0000
Al 1.7781 1.7781 3.5894
Al 1.7781 1.7781 10.9171
Ag 1.7781 1.7781 7.2533
```

Principal peaks in the range 2θ from 5° to 70°, most intense first:
2θ = 35.3°, I 100; 2θ = 35.7°, I 49; 2θ = 25.0°, I 36; 2θ = 63.9°, I 36; 2θ = 24.5°, I 19; 2θ = 63.2°, I 18; 2θ = 51.4°, I 17; 2θ = 43.8°, I 17; 2θ = 6.1°, I 10; 2θ = 50.3°, I 9; 2θ = 57.0°, I 8; 2θ = 57.7°, I 8



No. 2
Diffraction record for Hf3TiSn2. The powder diffraction line list is computed, not measured: it uses a structure optimized by DFT (PBE) and Cu Kα, 1.54184 Å.
Peak positions follow from Bragg's law for the DFT cell and can differ from measured ones.

Structural model:
```
24
Lattice="5.0605 0.0000 0.0000 0.0000 14.7662 0.0000 -1.3314 0.0000 7.1294" Properties=species:S:1:pos:R:3 pbc="T T T"
Hf 0.0851 1.3932 0.7168
Hf -0.5806 5.9899 4.2816
Hf -0.6282 8.6493 5.9151
Hf 0.0374 13.4999 2.3504
Hf 0.7875 10.8433 1.1928
Hf 0.1218 11.3060 4.7575
Hf 3.6073 3.4602 2.3719
Hf 2.9416 3.9229 5.9366
Hf 3.6917 1.2662 4.7790
Hf 4.3573 6.1168 1.2143
Hf 4.3097 8.7763 2.8479
Hf 3.6440 13.3730 6.4126
Ti 1.2243 1.7176 6.6218
Ti 1.8899 5.6654 3.0571
Ti 1.8391 9.1007 4.0723
Ti 2.5048 13.0485 0.5076
Sn 0.9377 3.0275 3.9825
Sn 1.6034 4.3556 0.4178
Sn 1.7811 7.9598 1.4092
Sn 1.1154 14.1895 4.9739
Sn 2.6137 0.5767 2.1555
Sn 1.9480 6.8064 5.7203
Sn 2.1257 10.4105 6.7117
Sn 2.7914 11.7387 3.1469
```

Principal peaks in the range 2θ from 5° to 70°, most intense first:
2θ = 36.5°, I 100; 2θ = 33.5°, I 98; 2θ = 40.9°, I 76; 2θ = 38.3°, I 58; 2θ = 31.0°, I 52; 2θ = 31.4°, I 41; 2θ = 34.1°, I 39; 2θ = 35.7°, I 31; 2θ = 32.8°, I 31; 2θ = 38.2°, I 30; 2θ = 17.8°, I 25; 2θ = 43.9°, I 24



No. 3
Diffraction record for K2DyMnTe4. The powder diffraction line list is computed, not measured: it uses a structure optimized by DFT (PBE) and Cu Kα, 1.54184 Å.
Peak positions follow from Bragg's law for the DFT cell and can differ from measured ones.

Structural model:
```
16
Lattice="-4.4622 4.5710 6.6180 4.4622 -4.5710 6.6180 4.4622 4.5710 -6.6180" Properties=species:S:1:pos:R:3 pbc="T T T"
K 0.0000 0.0000 0.0000
K -2.2311 2.2855 3.3090
K 0.0000 4.5710 0.0000
K 2.2311 2.2855 3.3090
Dy 4.4622 0.0000 0.0000
Dy 0.0000 0.0000 6.6180
Mn 2.2311 2.2855 -3.3090
Mn 2.2311 -2.2855 3.3090
Te 4.4622 -0.5254 3.1602
Te 4.4622 4.0456 -3.1602
Te 2.4270 2.2855 -0.1259
Te 6.4974 2.2855 -0.1259
Te -2.0352 2.2855 6.7439
Te 2.0352 2.2855 6.7439
Te 0.0000 0.5254 9.7782
Te 0.0000 5.0964 3.4578
```

Principal peaks in the range 2θ from 5° to 70°, most intense first:
2θ = 27.9°, I 100; 2θ = 39.2°, I 76; 2θ = 26.9°, I 63; 2θ = 12.0°, I 38; 2θ = 49.3°, I 21; 2θ = 40.4°, I 20; 2θ = 11.8°, I 20; 2θ = 63.3°, I 16; 2θ = 48.4°, I 13; 2θ = 39.4°, I 12; 2θ = 36.3°, I 12; 2θ = 64.8°, I 10



No. 4
Diffraction record for NaSn2HgAu. The powder diffraction line list is computed, not measured: it uses a structure optimized by DFT (PBE) and Cu Kα, 1.54184 Å.
Peak positions follow from Bragg's law for the DFT cell and can differ from measured ones.

Structural model:
```
5
Lattice="5.2797 0.0000 0.0000 0.0000 5.2797 0.0000 0.0000 0.0000 5.9609" Properties=species:S:1:pos:R:3 pbc="T T T"
Na 0.0000 0.0000 0.0000
Sn 0.0000 2.6399 2.3290
Sn 2.6399 0.0000 2.3290
Hg 2.6399 2.6399 0.8279
Au 0.0000 0.0000 3.1105
```

Principal peaks in the range 2θ from 5° to 70°, most intense first:
2θ = 22.5°, I 100; 2θ = 14.9°, I 70; 2θ = 34.0°, I 66; 2θ = 38.7°, I 54; 2θ = 41.1°, I 43; 2θ = 37.3°, I 31; 2θ = 63.9°, I 25; 2θ = 48.8°, I 24; 2θ = 34.6°, I 23; 2θ = 52.1°, I 21; 2θ = 49.2°, I 17; 2θ = 51.3°, I 12